Calculated XRD peak list
Compound: YAg2B2O6
Radiation: Cu Kα, 1.54184 Å
Structure: a PBE-relaxed structure
Peak positions follow from Bragg's law for the DFT cell and can differ from measured ones.

Main lines, by angle (2θ = 10–90°):
| Position (°2θ) | I (rel.) |
| --- | --- |
| 24.08 | 1000 |
| 29.09 | 141 |
| 33.53 | 560 |
| 35.08 | 603 |
| 41.71 | 436 |
| 49.31 | 211 |
| 54.54 | 300 |
| 56.66 | 194 |
| 59.95 | 135 |
| 60.96 | 177 |
| 70.83 | 89 |
| 81.22 | 96 |

Structural model:
abc: 5.3449 5.3449 6.1385
angles: 90.00 90.00 120.00
Positions (direct):
Y: 0.0000 0.0000 0.0000
Ag: 0.3333 0.6667 0.2944
Ag: 0.6667 0.3333 0.7056
B: 0.3333 0.6667 0.7803
B: 0.6667 0.3333 0.2197
O: 0.1055 0.3857 0.7804
O: 0.2803 0.8945 0.7804
O: 0.3857 0.2803 0.2196
O: 0.6143 0.7197 0.7804
O: 0.7197 0.1055 0.2196
O: 0.8945 0.6143 0.2196



Calculated XRD peak list
Compound: AgB3P
Radiation: Cu Kα, 1.54184 Å
Structure: a PBE-relaxed structure
Peak positions follow from Bragg's law for the DFT cell and can differ from measured ones.

Main lines, by angle (2θ = 10–90°):
| Position (°2θ) | I (rel.) |
| --- | --- |
| 22.63 | 333 |
| 32.21 | 1000 |
| 39.72 | 225 |
| 46.20 | 261 |
| 52.03 | 154 |
| 57.44 | 360 |
| 67.40 | 157 |
| 72.10 | 68 |
| 76.68 | 151 |
| 81.17 | 74 |
| 85.61 | 56 |

Structural model:
abc: 3.9300 3.9300 3.9300
angles: 90.00 90.00 90.00
Positions (direct):
Ag: 0.0000 0.0000 0.0000
B: 0.0000 0.5000 0.5000
B: 0.5000 0.0000 0.5000
B: 0.5000 0.5000 0.0000
P: 0.5000 0.5000 0.5000



Calculated XRD peak list
Compound: AgB4Pd12
Radiation: Cu Kα, 1.54184 Å
Structure: a PBE-relaxed structure
Peak positions follow from Bragg's law for the DFT cell and can differ from measured ones.

Main lines, by angle (2θ = 10–90°):
| Position (°2θ) | I (rel.) |
| --- | --- |
| 32.27 | 76 |
| 36.20 | 1000 |
| 39.80 | 191 |
| 43.14 | 625 |
| 54.88 | 52 |
| 57.55 | 101 |
| 60.13 | 108 |
| 69.91 | 273 |
| 72.25 | 131 |
| 74.55 | 209 |
| 83.58 | 147 |
| 88.01 | 85 |

Structural model:
abc: 6.7951 6.7951 6.7951
angles: 109.47 109.47 109.47
Positions (direct):
Ag: 0.0000 0.0000 0.0000
B: 0.0000 0.0000 0.5000
B: 0.0000 0.5000 0.0000
B: 0.5000 0.0000 0.0000
B: 0.5000 0.5000 0.5000
Pd: 0.1430 0.8231 0.3200
Pd: 0.1769 0.3200 0.4969
Pd: 0.1769 0.6800 0.8570
Pd: 0.3200 0.1430 0.8231
Pd: 0.3200 0.4969 0.1769
Pd: 0.4969 0.1769 0.3200
Pd: 0.5031 0.8231 0.6800
Pd: 0.6800 0.5031 0.8231
Pd: 0.6800 0.8570 0.1769
Pd: 0.8231 0.3200 0.1430
Pd: 0.8231 0.6800 0.5031
Pd: 0.8570 0.1769 0.6800



Calculated XRD peak list
Compound: AgBPd2
Radiation: Cu Kα, 1.54184 Å
Structure: a PBE-relaxed structure
Peak positions follow from Bragg's law for the DFT cell and can differ from measured ones.

Main lines, by angle (2θ = 10–90°):
| Position (°2θ) | I (rel.) |
| --- | --- |
| 33.92 | 322 |
| 34.74 | 106 |
| 37.86 | 1000 |
| 38.50 | 392 |
| 40.06 | 724 |
| 48.64 | 158 |
| 60.17 | 334 |
| 67.73 | 162 |
| 72.15 | 127 |
| 73.32 | 134 |
| 73.74 | 331 |
| 74.76 | 110 |

Structural model:
abc: 3.0758 3.0758 21.0457
angles: 90.00 90.00 120.00
Positions (direct):
Ag: 0.0000 0.0000 0.0000
Ag: 0.3333 0.6667 0.6667
Ag: 0.6667 0.3333 0.3333
B: 0.0000 0.0000 0.5000
B: 0.3333 0.6667 0.1667
B: 0.6667 0.3333 0.8333
Pd: 0.0000 0.0000 0.2231
Pd: 0.0000 0.0000 0.7769
Pd: 0.3333 0.6667 0.4436
Pd: 0.3333 0.6667 0.8898
Pd: 0.6667 0.3333 0.1102
Pd: 0.6667 0.3333 0.5564



Calculated XRD peak list
Compound: AgBPt4
Radiation: Cu Kα, 1.54184 Å
Structure: a PBE-relaxed structure
Peak positions follow from Bragg's law for the DFT cell and can differ from measured ones.

Main lines, by angle (2θ = 10–90°):
| Position (°2θ) | I (rel.) |
| --- | --- |
| 35.64 | 654 |
| 36.74 | 837 |
| 40.01 | 973 |
| 40.25 | 1000 |
| 40.53 | 941 |
| 52.55 | 163 |
| 64.01 | 484 |
| 67.99 | 204 |
| 68.45 | 105 |
| 68.60 | 113 |
| 75.45 | 147 |
| 78.09 | 235 |

Structural model:
abc: 5.0407 5.7370 6.9637
angles: 106.15 111.08 90.08
Positions (direct):
Ag: 0.0789 0.2501 0.0001
Ag: 0.9211 0.7499 0.9999
B: 0.0000 0.5000 0.5000
B: 0.5000 0.0000 0.5000
Pt: 0.0977 0.1408 0.3947
Pt: 0.2968 0.6413 0.3945
Pt: 0.3316 0.5597 0.8101
Pt: 0.4784 0.0599 0.8107
Pt: 0.5216 0.9401 0.1893
Pt: 0.6684 0.4403 0.1899
Pt: 0.7032 0.3587 0.6055
Pt: 0.9023 0.8592 0.6053



Calculated XRD peak list
Compound: AgBPt3
Radiation: Cu Kα, 1.54184 Å
Structure: a PBE-relaxed structure
Peak positions follow from Bragg's law for the DFT cell and can differ from measured ones.

Main lines, by angle (2θ = 10–90°):
| Position (°2θ) | I (rel.) |
| --- | --- |
| 33.98 | 744 |
| 36.76 | 1000 |
| 36.93 | 369 |
| 38.27 | 175 |
| 43.12 | 283 |
| 43.26 | 227 |
| 46.58 | 636 |
| 46.73 | 269 |
| 55.01 | 230 |
| 65.54 | 236 |
| 70.68 | 187 |
| 75.92 | 283 |

Structural model:
abc: 5.6972 5.6972 5.5265
angles: 104.90 104.90 60.30
Positions (direct):
Ag: 0.0384 0.0384 0.2696
Ag: 0.9616 0.9616 0.7304
B: 0.3322 0.3322 0.9993
B: 0.6678 0.6678 0.0007
Pt: 0.0421 0.5348 0.2690
Pt: 0.4587 0.4587 0.7311
Pt: 0.4652 0.9579 0.7310
Pt: 0.5348 0.0421 0.2690
Pt: 0.5413 0.5413 0.2689
Pt: 0.9579 0.4652 0.7310



> What is the formula in the sixth record?

AgBPt3